# 1
# Rb2LaPd
Simulated X-ray diffraction stick pattern, Cu Kα X-rays. Input: the PBE geometry in Alexandria.
No peak broadening, texture or thermal motion is included.

Main lines, sorted by position (2θ = 10–90°):
2θ = 15.24°, d 5.815, rel. 62; 2θ = 21.61°, d 4.112, rel. 100; 2θ = 23.38°, d 3.804, rel. 57; 2θ = 30.75°, d 2.907, rel. 34; 2θ = 33.93°, d 2.642, rel. 65; 2θ = 34.49°, d 2.600, rel. 78; 2θ = 40.59°, d 2.223, rel. 62; 2θ = 57.13°, d 1.612, rel. 31

Structure:
Cell: 11.6292 11.6292 5.5797 Å, 90.00 90.00 90.00°
Space group I-42d (No. 122)
One atom of each set of equivalent atoms:
Rb (0.1383, 0.2500, 0.1250)
La (0.0000, 0.0000, 0.5000)
Pd (0.0000, 0.0000, 0.0000)

# 2
# La3PdRh
Simulated X-ray diffraction stick pattern, Cu Kα X-rays. Input: the PBE geometry in Alexandria.
No peak broadening, texture or thermal motion is included.

Main lines, sorted by position (2θ = 10–90°):
2θ = 26.44°, d 3.371, rel. 35; 2θ = 28.15°, d 3.170, rel. 27; 2θ = 30.69°, d 2.913, rel. 41; 2θ = 31.94°, d 2.802, rel. 100; 2θ = 33.82°, d 2.650, rel. 62; 2θ = 34.72°, d 2.584, rel. 66; 2θ = 37.32°, d 2.409, rel. 76; 2θ = 41.30°, d 2.186, rel. 22

Structure:
Cell: 9.0607 7.6974 8.4783 Å, 90.00 105.29 90.00°
Space group P2_1/c (No. 14)
One atom of each set of equivalent atoms:
La (0.0679, 0.0031, 0.2228)
La (0.3058, 0.1520, 0.6184)
La (0.3574, 0.6884, 0.5059)
Pd (0.0522, 0.6851, 0.0220)
Rh (0.4046, 0.0356, 0.3122)

# 3
# LaSn2PdRh2
Simulated X-ray diffraction stick pattern, Cu Kα X-rays. Input: the PBE geometry in Alexandria.
No peak broadening, texture or thermal motion is included.

Main lines, sorted by position (2θ = 10–90°):
2θ = 15.84°, d 5.595, rel. 30; 2θ = 25.29°, d 3.521, rel. 25; 2θ = 29.98°, d 2.980, rel. 54; 2θ = 36.07°, d 2.490, rel. 100; 2θ = 36.85°, d 2.439, rel. 79; 2θ = 51.93°, d 1.761, rel. 35; 2θ = 52.52°, d 1.742, rel. 57; 2θ = 78.41°, d 1.220, rel. 21

Structure:
Cell: 4.9801 4.9801 5.5953 Å, 90.00 90.00 90.00°
Space group P4/mmm (No. 123)
One atom of each set of equivalent atoms:
La (0.0000, 0.0000, 0.0000)
Sn (0.0000, 0.5000, 0.5000)
Pd (0.0000, 0.0000, 0.5000)
Rh (0.5000, 0.5000, 0.2389)

# 4
# LaThPdRh
Simulated X-ray diffraction stick pattern, Cu Kα X-rays. Input: the PBE geometry in Alexandria.
No peak broadening, texture or thermal motion is included.

Main lines, sorted by position (2θ = 10–90°):
2θ = 30.57°, d 2.925, rel. 45; 2θ = 31.90°, d 2.805, rel. 100; 2θ = 32.26°, d 2.775, rel. 22; 2θ = 38.79°, d 2.322, rel. 66; 2θ = 42.67°, d 2.119, rel. 24; 2θ = 45.95°, d 1.975, rel. 19; 2θ = 50.17°, d 1.818, rel. 16; 2θ = 53.40°, d 1.716, rel. 19

Structure:
Cell: 4.2375 3.9500 11.6988 Å, 90.00 90.00 90.00°
Space group Amm2 (No. 38)
One atom of each set of equivalent atoms:
La (0.0000, 0.0000, 0.0000)
Th (0.5000, 0.0000, 0.7274)
Pd (0.5000, 0.0000, 0.4457)
Rh (0.0000, 0.0000, 0.2569)

# 5
# LaSb3Pd
Simulated X-ray diffraction stick pattern, Cu Kα X-rays. Input: the PBE geometry in Alexandria.
No peak broadening, texture or thermal motion is included.

Main lines, sorted by position (2θ = 10–90°):
2θ = 31.07°, d 2.879, rel. 88; 2θ = 31.41°, d 2.848, rel. 59; 2θ = 33.90°, d 2.644, rel. 86; 2θ = 34.30°, d 2.615, rel. 30; 2θ = 34.74°, d 2.582, rel. 43; 2θ = 35.07°, d 2.559, rel. 68; 2θ = 40.03°, d 2.252, rel. 100; 2θ = 53.14°, d 1.723, rel. 29

Structure:
Cell: 13.0649 6.4138 12.6562 Å, 90.00 90.00 90.00°
Space group Pbcm (No. 57)
One atom of each set of equivalent atoms:
La (0.1915, 0.2248, 0.2500)
La (0.1978, 0.7500, 0.0000)
Sb (0.0031, 0.0125, 0.6227)
Sb (0.2639, 0.2500, 0.0000)
Sb (0.2749, 0.7367, 0.2500)
Sb (0.4378, 0.0819, 0.2500)
Sb (0.4747, 0.7500, 0.0000)
Pd (0.3967, 0.0461, 0.6339)

# 6
# La2Sb3Pd3
Simulated X-ray diffraction stick pattern, Cu Kα X-rays. Input: the PBE geometry in Alexandria.
No peak broadening, texture or thermal motion is included.

Main lines, sorted by position (2θ = 10–90°):
2θ = 28.98°, d 3.082, rel. 100; 2θ = 32.09°, d 2.789, rel. 32; 2θ = 41.44°, d 2.179, rel. 38; 2θ = 43.78°, d 2.068, rel. 54; 2θ = 53.36°, d 1.717, rel. 31; 2θ = 68.03°, d 1.378, rel. 17; 2θ = 69.73°, d 1.349, rel. 15; 2θ = 77.21°, d 1.236, rel. 20

Structure:
Cell: 3.0816 3.0816 22.3122 Å, 90.00 90.00 90.00°
Space group P4/mmm (No. 123)
One atom of each set of equivalent atoms:
La (0.0000, 0.0000, 0.2377)
Sb (0.0000, 0.0000, 0.0000)
Sb (0.0000, 0.0000, 0.3846)
Pd (0.0000, 0.0000, 0.1215)
Pd (0.0000, 0.0000, 0.5000)

# 7
# La5SbPd2
Simulated X-ray diffraction stick pattern, Cu Kα X-rays. Input: the PBE geometry in Alexandria.
No peak broadening, texture or thermal motion is included.

Main lines, sorted by position (2θ = 10–90°):
2θ = 29.96°, d 2.982, rel. 18; 2θ = 30.93°, d 2.891, rel. 100; 2θ = 33.72°, d 2.658, rel. 26; 2θ = 34.21°, d 2.621, rel. 60; 2θ = 52.84°, d 1.732, rel. 14; 2θ = 53.88°, d 1.702, rel. 13; 2θ = 63.73°, d 1.460, rel. 17; 2θ = 64.48°, d 1.445, rel. 14

Structure:
Cell: 8.2885 8.2885 13.8569 Å, 90.00 90.00 90.00°
Space group I4/mcm (No. 140)
One atom of each set of equivalent atoms:
La (0.0000, 0.0000, 0.0000)
La (0.1573, 0.3427, 0.1419)
Sb (0.0000, 0.0000, 0.2500)
Pd (0.1334, 0.3666, 0.5000)

# 8
# La2SbPd3
Simulated X-ray diffraction stick pattern, Cu Kα X-rays. Input: the PBE geometry in Alexandria.
No peak broadening, texture or thermal motion is included.

Main lines, sorted by position (2θ = 10–90°):
2θ = 31.78°, d 2.816, rel. 100; 2θ = 39.08°, d 2.305, rel. 60; 2θ = 45.68°, d 1.986, rel. 12; 2θ = 51.22°, d 1.783, rel. 26; 2θ = 61.65°, d 1.505, rel. 30; 2θ = 66.26°, d 1.410, rel. 24; 2θ = 70.81°, d 1.331, rel. 10; 2θ = 88.43°, d 1.105, rel. 11

Structure:
Cell: 4.6095 4.6095 15.8889 Å, 90.00 90.00 120.00°
Space group P6_3/mmc (No. 194)
One atom of each set of equivalent atoms:
La (0.0000, 0.0000, 0.1186)
Sb (0.3333, 0.6667, 0.2500)
Pd (0.3333, 0.6667, 0.0003)
Pd (0.3333, 0.6667, 0.7500)